[1]
Diffraction record for CoP2O7. The powder X-ray diffraction pattern is computed, not measured: it uses a crystal structure in the Materials Project, relaxed with PBE+U and Cu Kα, 1.54184 Å.

Main lines, in order of rising 2θ (10° ≤ 2θ ≤ 90°):
Position (°2θ), Rel. int.
17.82, 100
20.48, 11
22.61, 33
23.72, 23
26.80, 12
29.15, 27
30.01, 13
30.94, 53
31.74, 20
43.97, 7
47.20, 8
63.96, 10

Atomic structure:
```
CoP2O7
1.0
7.0899 0.0000 0.0000
0.0000 7.8579 0.0000
-3.1424 0.0000 8.5361
Co P O
4 8 28
Cartesian
0.8495 0.0532 2.1574 Co
-0.7217 3.8757 6.4255 Co
4.6692 3.9822 2.1107 Co
3.0980 7.8047 6.3787 Co
-0.1728 5.4934 3.7885 P
-1.7440 6.2935 8.0566 P
1.2592 1.8647 4.7587 P
2.8303 2.0643 0.4906 P
1.1171 5.7937 8.0455 P
2.6883 5.9932 3.7774 P
5.6915 1.5645 0.4795 P
4.1203 2.3645 4.7476 P
-0.7592 4.5387 2.7387 O
-2.3304 7.2482 7.0068 O
-1.7921 4.7945 7.7314 O
-0.2209 6.9924 3.4633 O
-0.7058 5.3514 5.2297 O
0.8654 6.4355 0.9616 O
1.6475 1.1668 0.8241 O
0.0763 2.7622 5.0922 O
1.0505 1.5272 3.2676 O
-0.5207 2.4018 7.5357 O
1.3805 5.0587 3.7291 O
-0.1906 6.7282 7.9972 O
0.9125 4.5823 7.1121 O
2.4837 7.2046 2.8440 O
1.4638 0.6533 5.6921 O
3.0350 3.2756 1.4241 O
4.1381 1.1297 0.5390 O
2.5669 2.7993 4.8070 O
4.4681 5.4562 1.0004 O
2.8969 6.3307 5.2685 O
3.8712 5.0958 3.4440 O
2.3000 6.6911 7.7120 O
3.0821 1.4225 7.5746 O
4.6532 2.5065 3.3065 O
4.1683 0.8655 5.0728 O
5.7395 3.0634 0.8048 O
6.2778 0.6098 1.5294 O
4.7066 3.3192 5.7974 O
```

***

[2]
Diffraction record for FeOF. The powder X-ray diffraction pattern is computed, not measured: it uses a crystal structure in the Materials Project, relaxed with PBE+U and Cu Kα, 1.54184 Å.

Main lines, in order of rising 2θ (10° ≤ 2θ ≤ 90°):
Position (°2θ), Rel. int.
26.58, 89
26.70, 89
34.53, 100
39.59, 33
52.24, 52
52.37, 53
54.75, 14
55.01, 15
59.49, 18
66.33, 22
66.41, 19
66.55, 16

Atomic structure:
```
FeOF
1.0
9.4519 0.0000 0.0000
0.0000 3.1077 0.0000
-0.0629 0.0000 14.2120
Fe O F
12 12 12
Cartesian
0.0000 0.0000 0.0000 Fe
-0.0137 0.0000 4.6779 Fe
1.9354 1.5538 11.8221 Fe
2.0024 1.5538 7.0300 Fe
2.0487 1.5538 2.3009 Fe
4.4543 0.0000 0.2558 Fe
4.6758 0.0000 9.4830 Fe
4.7135 0.0000 4.6924 Fe
6.6831 1.5538 7.0811 Fe
6.7176 1.5538 2.3294 Fe
6.7525 1.5538 11.7527 Fe
9.1346 0.0000 9.7237 Fe
0.6521 1.5538 13.2803 O
0.7612 1.5538 3.8476 O
1.2075 0.0000 1.4840 O
1.2031 0.0000 6.2449 O
1.2369 0.0000 10.8796 O
3.5727 1.5538 0.9952 O
5.4110 1.5538 8.5742 O
5.4504 1.5538 3.8231 O
5.8414 0.0000 11.0296 O
5.9392 0.0000 6.2078 O
6.0116 0.0000 1.4331 O
8.2386 1.5538 10.4477 O
0.6582 1.5538 8.5849 F
3.0052 0.0000 8.0732 F
3.0860 0.0000 3.3976 F
3.0837 0.0000 12.7422 F
3.5395 1.5538 10.3884 F
3.5775 1.5538 5.7325 F
5.3693 1.5538 13.3357 F
7.6891 0.0000 12.8693 F
7.8139 0.0000 3.3260 F
7.8342 0.0000 8.0174 F
8.3345 1.5538 0.9653 F
8.3114 1.5538 5.6778 F
```

***

[3]
Diffraction record for MgTiW2O8. The powder X-ray diffraction pattern is computed, not measured: it uses a crystal structure in the Materials Project, relaxed with PBE+U and Cu Kα, 1.54184 Å.

Main lines, in order of rising 2θ (10° ≤ 2θ ≤ 90°):
Position (°2θ), Rel. int.
14.69, 99
17.97, 100
19.60, 27
23.00, 48
23.42, 79
24.02, 24
29.04, 51
29.65, 53
34.51, 27
40.61, 33
41.51, 24
44.26, 26

Atomic structure:
```
MgTiW2O8
1.0
5.0896 0.0000 0.0000
1.1702 5.1653 0.0000
0.3106 1.8626 6.0295
Mg Ti W O
1 1 2 8
Cartesian
0.0000 0.0000 0.0000 Mg
4.6805 5.5003 3.2387 Ti
2.8296 3.2579 4.1921 W
5.5211 2.6697 2.2265 W
0.9346 3.3311 0.6414 O
1.1698 4.1653 3.4694 O
2.1242 2.5596 5.6957 O
2.1136 1.7474 2.9243 O
3.8127 4.8905 4.7477 O
3.8813 3.9145 2.4068 O
4.5167 1.9779 4.1732 O
4.5583 0.9973 1.6567 O
```

***

[4]
Diffraction record for FeTeO3F. The powder X-ray diffraction pattern is computed, not measured: it uses a crystal structure in the Materials Project, relaxed with PBE+U and Cu Kα, 1.54184 Å.

Main lines, in order of rising 2θ (10° ≤ 2θ ≤ 90°):
Position (°2θ), Rel. int.
24.86, 100
25.87, 33
26.17, 54
29.51, 38
33.64, 41
35.16, 16
43.72, 22
46.11, 15
46.42, 24
50.18, 20
52.35, 23
56.47, 16

Atomic structure:
```
FeTeO3F
1.0
5.1489 0.0000 0.0000
0.0000 5.1815 0.0000
-3.5082 0.0000 12.4237
Fe Te O F
4 4 12 4
Cartesian
0.2956 1.2559 0.8780 Fe
-1.4585 1.3349 7.0899 Fe
3.0992 3.8466 5.3338 Fe
1.3451 3.9256 11.5457 Fe
-1.2454 1.0134 10.3116 Te
0.5087 1.5774 4.0998 Te
1.1321 3.6041 8.3240 Te
2.8862 4.1681 2.1121 Te
-2.1199 0.4330 8.7207 O
-0.3658 2.1578 2.5088 O
-2.5862 0.3308 11.5662 O
-0.8321 2.2600 5.3543 O
1.7510 0.5455 2.0221 O
-0.0031 2.0453 8.2340 O
1.6439 3.1362 4.1898 O
-0.1102 4.6360 10.4017 O
2.4728 2.9215 7.0694 O
4.2269 4.8507 0.8576 O
2.0065 3.0237 9.9150 O
3.7606 4.7485 3.7031 O
1.1882 2.9259 0.1832 F
-0.5659 4.8463 6.3951 F
2.2066 0.3352 6.0287 F
0.4525 2.2556 12.2405 F
```

***

[5]
Diffraction record for Li5V2Cr2O8. The powder X-ray diffraction pattern is computed, not measured: it uses a crystal structure in the Materials Project, relaxed with PBE+U and Cu Kα, 1.54184 Å.

Main lines, in order of rising 2θ (10° ≤ 2θ ≤ 90°):
Position (°2θ), Rel. int.
17.89, 35
18.01, 100
34.77, 29
34.91, 34
36.49, 16
42.16, 43
42.38, 84
56.03, 15
61.15, 22
61.49, 24
61.64, 12
77.52, 15

Atomic structure:
```
Li5V2Cr2O8
1.0
5.2275 -3.0093 0.0000
5.2275 3.0093 0.0000
-3.4607 0.0000 4.9574
Li V Cr O
5 2 2 8
Cartesian
0.0000 0.0000 0.0000 Li
2.6138 1.5047 0.0000 Li
-1.7683 0.0000 3.5159 Li
2.6138 -1.5047 0.0000 Li
8.7627 0.0000 1.4415 Li
5.2275 0.0000 0.0000 V
3.4972 0.0000 2.4787 V
0.8834 1.5047 2.4787 Cr
0.8834 -1.5047 2.4787 Cr
1.6817 0.0000 1.3152 O
2.5201 1.4481 3.7274 O
0.0893 0.0000 3.6499 O
4.4742 1.4481 1.2300 O
2.5201 -1.4481 3.7274 O
6.9051 0.0000 1.3075 O
4.4742 -1.4481 1.2300 O
5.3127 0.0000 3.6422 O
```

***

[6]
Diffraction record for MgMn5NiO12. The powder X-ray diffraction pattern is computed, not measured: it uses a crystal structure in the Materials Project, relaxed with PBE+U and Cu Kα, 1.54184 Å.

Main lines, in order of rising 2θ (10° ≤ 2θ ≤ 90°):
Position (°2θ), Rel. int.
18.12, 100
35.17, 10
36.16, 17
37.34, 9
37.46, 14
42.21, 8
43.80, 15
47.08, 17
47.67, 7
55.62, 5
57.52, 10
62.88, 10

Atomic structure:
```
MgMn5NiO12
1.0
5.0562 0.0000 0.0000
-2.4275 4.4355 0.0000
-0.7236 -1.2124 9.7909
Mg Mn Ni O
1 5 1 12
Cartesian
0.0000 0.0000 0.0000 Mg
-1.6899 2.8893 2.4936 Mn
-0.6923 1.6602 7.3945 Mn
0.8137 1.4118 2.5860 Mn
1.7675 0.2035 7.3945 Mn
3.3137 -0.0747 2.4899 Mn
1.8500 3.1467 7.1769 Ni
-0.8372 1.3526 1.4804 O
-0.1713 -0.2488 3.5191 O
-1.4343 3.1663 6.4092 O
0.1085 0.2055 8.4364 O
1.5555 -0.0670 1.4810 O
-0.0052 2.9408 3.4367 O
0.8835 1.5163 6.3662 O
0.2692 3.1553 8.3391 O
1.8016 3.0758 1.3725 O
2.5474 1.4249 3.4360 O
3.4422 0.2779 6.4082 O
2.6194 1.7609 8.3416 O
```

***

[7]
Diffraction record for NaNiF3. The powder X-ray diffraction pattern is computed, not measured: it uses a crystal structure in the Materials Project, relaxed with PBE+U and Cu Kα, 1.54184 Å.

Main lines, in order of rising 2θ (10° ≤ 2θ ≤ 90°):
Position (°2θ), Rel. int.
17.39, 84
23.91, 38
29.72, 100
30.55, 46
39.67, 74
41.56, 36
46.85, 59
48.95, 25
58.81, 26
59.83, 24
59.94, 40
60.64, 20

Atomic structure:
```
NaNiF3
1.0
1.5271 -5.0986 0.0000
1.5271 5.0986 0.0000
0.0000 0.0000 7.4426
Na Ni F
2 2 6
Cartesian
1.5271 2.6069 5.5819 Na
1.5271 -2.6069 1.8606 Na
1.5271 0.0000 0.0000 Ni
1.5271 0.0000 3.7213 Ni
1.5271 3.8018 0.4296 F
1.5271 3.8018 3.2916 F
1.5271 0.7733 1.8606 F
1.5271 -0.7733 5.5819 F
1.5271 -3.8018 4.1509 F
1.5271 -3.8018 7.0129 F
```